Starting from a crystal structure in Alexandria, relaxed with GGA-PBE, the powder diffractogram of La8Ir3OsBr3 was computed for Cu Ka.
Peak positions follow from Bragg's law for the DFT cell and can differ from measured ones.

Atomic structure:
Cell: 14.620 8.429 9.215 Å, 90.00 121.97 90.00°
Space group C2/m (No. 12)
Asymmetric unit:
La (0.016, 0.246, 0.304)
La (0.229, 0.000, 0.696)
La (0.232, 0.500, 0.694)
Ir (0.000, 0.500, 0.500)
Ir (0.250, 0.250, 0.500)
Os (0.000, 0.000, 0.500)
Br (0.000, 0.000, 0.000)
Br (0.250, 0.250, 0.000)

Largest 10 diffraction maxima, low angle first, 5 to 70 degrees two-theta:
2θ/deg	intensity	index
11.32	54.9	0 0 1
28.80	100.0	4 0 0
36.39	22.9	2 2 -3
39.42	30.5	2 2 2
42.89	37.9	0 4 0
44.50	12.1	6 2 -3
49.51	13.8	4 0 -5
52.48	18.8	4 4 0
59.65	9.1	8 0 0
65.07	7.4	6 2 2

***

Starting from a crystal structure in Alexandria, relaxed with GGA-PBE, the powder diffractogram of Rb2LaIrBr6 was computed for Cu Ka.
Peak positions follow from Bragg's law for the DFT cell and can differ from measured ones.

Atomic structure:
Cell: 7.542 7.542 13.374 Å, 90.00 90.00 90.00°
Space group I4/mmm (No. 139)
Asymmetric unit:
Rb (0.000, 0.500, 0.250)
La (0.000, 0.000, 0.000)
Ir (0.000, 0.000, 0.500)
Br (0.000, 0.000, 0.220)
Br (0.229, 0.229, 0.500)

Largest 10 diffraction maxima, low angle first, 5 to 70 degrees two-theta:
2θ/deg	intensity	index
13.24	53.2	0 0 2
16.62	61.9	1 1 0
21.31	82.0	1 1 2
23.59	31.1	2 0 0
26.66	87.8	0 0 4
27.15	38.9	2 0 2
33.61	100.0	2 2 0
43.41	88.5	2 2 4
48.27	34.0	4 0 0
55.99	39.5	4 0 4

***

Starting from a crystal structure in Alexandria, relaxed with GGA-PBE, the powder diffractogram of La8IrRh3Br3 was computed for Cu Ka.
Peak positions follow from Bragg's law for the DFT cell and can differ from measured ones.

Atomic structure:
Cell: 8.386 8.406 9.217 Å, 90.09 116.98 119.88°
Space group P-1 (No. 2)
Asymmetric unit:
La (0.033, 0.265, 0.302)
La (0.033, 0.768, 0.302)
La (0.464, 0.232, 0.698)
La (0.467, 0.733, 0.698)
Ir (0.000, 0.000, 0.500)
Rh (0.000, 0.500, 0.500)
Rh (0.500, 0.000, 0.500)
Rh (0.500, 0.500, 0.500)
Br (0.000, 0.000, 0.000)
Br (0.500, 0.000, 0.000)
Br (0.500, 0.500, 0.000)

Largest 10 diffraction maxima, low angle first, 5 to 70 degrees two-theta:
2θ/deg	intensity	index
11.27	36.2	0 0 1
12.74	6.3	0 1 0
28.85	100.0	2 0 0
36.38	18.4	0 2 -3
39.38	29.9	0 2 2
43.03	25.0	2 2 -2
43.15	12.4	-4 2 2
49.37	8.1	0 2 3
52.56	6.2	0 4 0
52.73	12.2	4 -4 0

***

Starting from a crystal structure in Alexandria, relaxed with GGA-PBE, the powder diffractogram of La4IrS2Br was computed for Cu Ka.
Peak positions follow from Bragg's law for the DFT cell and can differ from measured ones.

Atomic structure:
Cell: 7.384 4.137 7.468 Å, 90.00 108.90 90.00°
Space group P2/m (No. 10)
Asymmetric unit:
La (0.230, 0.000, 0.231)
La (0.257, 0.500, 0.771)
Ir (0.500, 0.000, 0.000)
S (0.000, 0.000, 0.500)
S (0.000, 0.500, 0.000)
Br (0.500, 0.500, 0.500)

Largest 10 diffraction maxima, low angle first, 5 to 70 degrees two-theta:
2θ/deg	intensity	index
12.53	14.9	0 0 1
12.67	14.7	1 0 0
29.57	52.5	2 0 -2
29.91	100.0	1 1 1
41.85	18.2	2 0 2
42.38	37.3	1 1 -3
42.75	37.7	3 1 -1
43.76	18.0	0 2 0
53.70	19.7	2 2 -2
62.15	11.2	2 2 2

***

Starting from a crystal structure in Alexandria, relaxed with GGA-PBE, the powder diffractogram of La8Si3IrBr4 was computed for Cu Ka.
Peak positions follow from Bragg's law for the DFT cell and can differ from measured ones.

Atomic structure:
Cell: 15.128 8.717 8.943 Å, 90.00 124.31 90.00°
Space group C2/m (No. 12)
Asymmetric unit:
La (0.011, 0.242, 0.290)
La (0.234, 0.000, 0.712)
La (0.240, 0.500, 0.720)
Si (0.000, 0.500, 0.500)
Si (0.250, 0.250, 0.500)
Ir (0.000, 0.000, 0.500)
Br (0.000, 0.000, 0.000)
Br (0.000, 0.500, 0.000)
Br (0.250, 0.250, 0.000)

Largest 10 diffraction maxima, low angle first, 5 to 70 degrees two-theta:
2θ/deg	intensity	index
12.38	9.4	1 1 0
24.90	11.6	2 2 0
28.60	100.0	4 0 0
31.10	6.5	4 0 -3
40.37	32.1	2 2 2
41.39	38.6	6 2 -2
51.08	19.5	4 4 0
59.20	10.3	8 0 0
66.32	10.3	6 2 2
67.79	10.9	8 4 -4

***

Starting from a crystal structure in Alexandria, relaxed with GGA-PBE, the powder diffractogram of La8TlIr3Br4 was computed for Cu Ka.
Peak positions follow from Bragg's law for the DFT cell and can differ from measured ones.

Atomic structure:
Cell: 8.6511 8.6511 23.5047 Å, 90.00 90.00 120.00°
Space group R-3m (No. 166, hexagonal axes)
Asymmetric unit:
La (0.0000, 0.0000, 0.2340)
La (0.0254, 0.5127, 0.7665)
Tl (0.0000, 0.0000, 0.5000)
Ir (0.0000, 0.5000, 0.5000)
Br (0.0000, 0.0000, 0.0000)
Br (0.0000, 0.5000, 0.0000)

Largest 10 diffraction maxima, low angle first, 5 to 70 degrees two-theta:
2θ/deg	intensity	index
11.29	36.4	0 0 3
28.25	100.0	0 2 4
35.92	16.2	0 2 7
38.96	32.7	2 0 8
41.76	36.7	2 2 0
49.08	10.2	2 0 11
51.19	18.4	4 0 4
58.43	9.5	0 4 8
64.15	9.4	2 2 12
68.12	14.6	2 4 4

***

Starting from a crystal structure in Alexandria, relaxed with GGA-PBE, the powder diffractogram of LiIrBr6 was computed for Cu Ka.
Peak positions follow from Bragg's law for the DFT cell and can differ from measured ones.

Atomic structure:
Cell: 6.489 11.997 6.735 Å, 90.00 112.68 90.00°
Space group C2/m (No. 12)
Asymmetric unit:
Li (0.000, 0.000, 0.000)
Ir (0.000, 0.500, 0.500)
Br (0.230, 0.353, 0.751)
Br (0.242, 0.000, 0.687)

Largest 10 diffraction maxima, low angle first, 5 to 70 degrees two-theta:
2θ/deg	intensity	index
14.25	46.8	0 0 1
14.77	52.7	0 2 0
16.55	44.9	1 1 0
17.74	53.6	1 1 -1
20.58	42.0	0 2 1
27.59	32.4	1 3 -1
32.56	44.3	2 0 -2
33.16	100.0	1 3 1
46.42	25.8	1 3 -3
47.90	29.6	3 3 -1

***

Starting from a crystal structure in Alexandria, relaxed with GGA-PBE, the powder diffractogram of MnIrBr6 was computed for Cu Ka.
Peak positions follow from Bragg's law for the DFT cell and can differ from measured ones.

Atomic structure:
Cell: 6.959 12.343 6.302 Å, 90.00 93.68 90.00°
Space group C2/m (No. 12)
Asymmetric unit:
Mn (0.000, 0.000, 0.000)
Ir (0.000, 0.000, 0.500)
Br (0.144, 0.140, 0.752)
Br (0.213, 0.500, 0.722)

Largest 10 diffraction maxima, low angle first, 5 to 70 degrees two-theta:
2θ/deg	intensity	index
14.08	11.2	0 0 1
14.35	55.6	0 2 0
14.64	100.0	1 1 0
28.55	34.2	2 0 -1
29.36	43.3	1 3 1
37.64	14.1	1 3 -2
38.93	20.0	1 3 2
40.19	11.0	2 2 -2
44.93	19.8	3 3 0
47.87	11.1	3 1 -2

***

Starting from a crystal structure in Alexandria, relaxed with GGA-PBE, the powder diffractogram of MnIrPt2Br was computed for Cu Ka.
Peak positions follow from Bragg's law for the DFT cell and can differ from measured ones.

Atomic structure:
Cell: 4.669 4.669 4.428 Å, 90.00 90.00 90.00°
Space group P4/mmm (No. 123)
Asymmetric unit:
Mn (0.000, 0.000, 0.000)
Ir (0.500, 0.500, 0.000)
Pt (0.000, 0.500, 0.500)
Br (0.000, 0.000, 0.500)

Largest 10 diffraction maxima, low angle first, 5 to 70 degrees two-theta:
2θ/deg	intensity	index
20.05	14.8	0 0 1
27.77	25.8	1 0 1
33.87	100.0	1 1 1
38.56	59.5	2 0 0
40.76	25.5	0 0 2
48.18	11.7	2 1 1
55.68	20.5	2 2 0
57.36	37.6	2 0 2
66.79	28.5	3 1 1
69.80	12.5	1 1 3

***

Starting from a crystal structure in Alexandria, relaxed with GGA-PBE, the powder diffractogram of MoIrBr2N was computed for Cu Ka.
Peak positions follow from Bragg's law for the DFT cell and can differ from measured ones.

Atomic structure:
Cell: 5.260 5.260 3.752 Å, 90.00 90.00 90.00°
Space group P4/mmm (No. 123)
Asymmetric unit:
Mo (0.000, 0.000, 0.000)
Ir (0.500, 0.500, 0.500)
Br (0.000, 0.500, 0.000)
N (0.000, 0.000, 0.500)

Largest 10 diffraction maxima, low angle first, 5 to 70 degrees two-theta:
2θ/deg	intensity	index
23.93	20.5	1 1 0
29.24	100.0	1 0 1
33.94	65.6	1 1 1
34.09	97.2	2 0 0
45.51	60.5	2 1 1
48.53	17.6	0 0 2
48.98	34.2	2 2 0
60.64	35.7	2 0 2
60.93	24.0	3 1 1
69.08	17.8	3 2 1

***

Starting from a crystal structure in Alexandria, relaxed with GGA-PBE, the powder diffractogram of IrBr3N was computed for Cu Ka.
Peak positions follow from Bragg's law for the DFT cell and can differ from measured ones.

Atomic structure:
Cell: 6.647 7.735 13.065 Å, 89.64 84.47 77.65°
Space group P-1 (No. 2)
Asymmetric unit:
Ir (0.123, 0.046, 0.113)
Ir (0.127, 0.913, 0.375)
Br (0.008, 0.790, 0.218)
Br (0.008, 0.790, 0.719)
Br (0.218, 0.063, 0.528)
Br (0.227, 0.867, 0.950)
Br (0.238, 0.298, 0.028)
Br (0.258, 0.622, 0.448)
N (0.371, 0.924, 0.275)
N (0.371, 0.957, 0.189)

Largest 10 diffraction maxima, low angle first, 5 to 70 degrees two-theta:
2θ/deg	intensity	index
11.71	100.0	0 1 0
13.69	74.1	1 0 0
14.70	10.5	1 0 1
15.90	11.3	1 0 -1
16.02	28.0	1 1 0
16.96	11.5	1 1 1
30.09	16.9	0 1 4
30.88	11.6	1 1 4
32.14	12.6	2 0 -2
38.13	11.5	0 3 -2

***

Starting from a crystal structure in Alexandria, relaxed with GGA-PBE, the powder diffractogram of Rb2IrBr6N was computed for Cu Ka.
Peak positions follow from Bragg's law for the DFT cell and can differ from measured ones.

Atomic structure:
Cell: 8.176 8.176 9.473 Å, 90.00 90.00 90.00°
Space group I4/mmm (No. 139)
Asymmetric unit:
Rb (0.000, 0.500, 0.250)
Ir (0.000, 0.000, 0.000)
Br (0.000, 0.000, 0.275)
Br (0.216, 0.216, 0.000)
N (0.000, 0.000, 0.500)

Largest 10 diffraction maxima, low angle first, 5 to 70 degrees two-theta:
2θ/deg	intensity	index
14.31	87.8	1 0 1
15.33	36.0	1 1 0
24.29	30.4	1 1 2
28.85	66.9	2 0 2
30.34	31.8	1 0 3
30.94	100.0	2 2 0
37.99	30.2	0 0 4
40.92	30.3	3 2 1
44.32	31.5	4 0 0
49.77	47.7	2 2 4